Starting from the PBE geometry in Alexandria, the XRD peak list of Li2CdTc was calculated for Cu Ka.
Neutral-atom scattering factors, no anomalous dispersion.

Top 8 peaks for 15° ≤ 2θ ≤ 90°, sorted by position:
2theta  I_rel
18.1  100
35.7  22
36.7  20
38.3  30
40.3  26
42.6  53
52.1  14
54.1  21

Atomic structure:
Cell lengths 2.6610, 5.0361, 9.7953 Å; angles 90.00, 90.00, 90.00 degrees
Element x y z (fractional)
Li 0.0000 0.0000 0.2462
Li 0.0000 0.0000 0.7538
Li 0.5000 0.5000 0.2538
Li 0.5000 0.5000 0.7462
Cd 0.0000 0.5000 0.0000
Cd 0.5000 0.0000 0.5000
Tc 0.0000 0.5000 0.5000
Tc 0.5000 0.0000 0.0000



Starting from the PBE geometry in Alexandria, the XRD peak list of PrAl12Cu4 was calculated for Cu Ka.
Neutral-atom scattering factors, no anomalous dispersion.

Top 8 peaks for 15° ≤ 2θ ≤ 90°, sorted by position:
2theta  I_rel
25.3  35
29.3  100
32.9  83
39.1  67
41.9  25
52.0  82
54.3  36
68.9  25

Atomic structure:
Cell lengths 7.4634, 7.4634, 7.4634 Å; angles 109.47, 109.47, 109.47 degrees
Element x y z (fractional)
Pr 0.0000 0.0000 0.0000
Al 0.1666 0.5102 0.3435
Al 0.1666 0.8231 0.6565
Al 0.1769 0.3435 0.8334
Al 0.3435 0.1666 0.5102
Al 0.3435 0.8334 0.1769
Al 0.4898 0.6565 0.8334
Al 0.5102 0.3435 0.1666
Al 0.6565 0.1666 0.8231
Al 0.6565 0.8334 0.4898
Al 0.8231 0.6565 0.1666
Al 0.8334 0.1769 0.3435
Al 0.8334 0.4898 0.6565
Cu 0.0000 0.0000 0.5000
Cu 0.0000 0.5000 0.0000
Cu 0.5000 0.0000 0.0000
Cu 0.5000 0.5000 0.5000



Starting from the PBE geometry in Alexandria, the XRD peak list of Sc2PaAg2S6 was calculated for Cu Ka.
Neutral-atom scattering factors, no anomalous dispersion.

Top 8 peaks for 15° ≤ 2θ ≤ 90°, sorted by position:
2theta  I_rel
15.3  100
26.7  19
30.1  19
30.5  64
32.2  16
33.8  19
36.5  26
48.4  18

Atomic structure:
Cell lengths 6.6851, 6.6851, 6.6414 Å; angles 92.57, 92.57, 119.80 degrees
Element x y z (fractional)
Sc 0.1620 0.8380 0.0000
Sc 0.8380 0.1620 0.0000
Pa 0.5000 0.5000 0.0000
Ag 0.3762 0.6238 0.5000
Ag 0.6238 0.3762 0.5000
S 0.1356 0.4839 0.7889
S 0.1813 0.1813 0.2139
S 0.4839 0.1356 0.7889
S 0.5161 0.8644 0.2112
S 0.8187 0.8187 0.7861
S 0.8644 0.5161 0.2112



Starting from the PBE geometry in Alexandria, the XRD peak list of Li2PmTmTe4 was calculated for Cu Ka.
Neutral-atom scattering factors, no anomalous dispersion.

Top 8 peaks for 15° ≤ 2θ ≤ 90°, sorted by position:
2theta  I_rel
23.9  23
29.0  100
31.7  14
41.3  38
41.6  37
51.3  20
67.9  17
68.3  17

Atomic structure:
Cell lengths 7.4989, 4.3707, 7.5678 Å; angles 90.00, 109.58, 90.00 degrees
Element x y z (fractional)
Li 0.0000 0.0000 0.0000
Li 0.0000 0.5000 0.5000
Pm 0.5000 0.0000 0.5000
Tm 0.5000 0.5000 0.0000
Te 0.2412 0.5000 0.2395
Te 0.2456 0.0000 0.7567
Te 0.7544 0.0000 0.2433
Te 0.7588 0.5000 0.7605



Question: What is the formula in the fourth record?
Answer: Li2PmTmTe4